Simulated X-ray diffraction stick pattern
Compound: KTlVO3
Radiation: copper Kα
Structure: a DFT-relaxed cell (GGA+U, Alexandria)

Atomic structure:
```
12
Lattice="3.258 -6.119 0.000 3.258 6.119 0.000 -1.022 0.000 5.433" Properties=species:S:1:pos:R:3 pbc="T T T"
K 2.491 5.090 4.075
K 3.002 -5.090 1.358
Tl 3.002 2.731 1.358
Tl 2.491 -2.731 4.075
V 2.491 0.620 4.075
V 3.002 -0.620 1.358
O 2.055 0.427 0.094
O 2.491 2.380 4.075
O 1.544 -0.427 2.810
O 3.949 0.427 2.623
O 3.002 -2.380 1.358
O 3.438 -0.427 5.339
```

Main lines, sorted by position (2θ = 15–90°):
2θ = 15.62°, rel. 37; 2θ = 20.70°, rel. 92; 2θ = 24.47°, rel. 51; 2θ = 27.87°, rel. 84; 2θ = 29.32°, rel. 93; 2θ = 31.54°, rel. 38; 2θ = 32.15°, rel. 100; 2θ = 32.97°, rel. 50; 2θ = 36.18°, rel. 30; 2θ = 39.37°, rel. 79

***

Simulated X-ray diffraction stick pattern
Compound: K2TlVO4
Radiation: copper Kα
Structure: a DFT-relaxed cell (GGA+U, Alexandria)

Atomic structure:
```
16
Lattice="8.513 0.000 0.000 0.000 6.177 0.000 0.000 0.000 5.993" Properties=species:S:1:pos:R:3 pbc="T T T"
K 2.030 1.458 0.000
K 2.227 4.720 2.996
K 6.286 4.720 2.996
K 6.483 1.458 0.000
Tl 0.000 4.429 5.949
Tl 4.257 1.748 2.952
V 0.000 1.167 2.967
V 4.257 5.011 5.963
O 0.000 0.040 1.610
O 0.000 0.213 4.451
O 1.444 2.126 2.895
O 2.813 4.051 5.891
O 4.257 5.964 1.455
O 4.257 6.137 4.607
O 5.701 4.051 5.891
O 7.069 2.126 2.895
```

Main lines, sorted by position (2θ = 15–90°):
2θ = 17.74°, rel. 25; 2θ = 18.10°, rel. 29; 2θ = 20.65°, rel. 45; 2θ = 20.87°, rel. 21; 2θ = 28.91°, rel. 22; 2θ = 29.52°, rel. 100; 2θ = 29.82°, rel. 28; 2θ = 34.94°, rel. 21; 2θ = 42.01°, rel. 23; 2θ = 52.75°, rel. 27

***

Simulated X-ray diffraction stick pattern
Compound: KTl2VO4
Radiation: copper Kα
Structure: a DFT-relaxed cell (GGA+U, Alexandria)

Atomic structure:
```
16
Lattice="7.864 0.000 0.000 0.000 8.157 0.000 0.000 0.000 5.759" Properties=species:S:1:pos:R:3 pbc="T T T"
K 0.000 0.963 0.000
K 3.932 7.194 2.880
Tl 1.932 2.579 2.897
Tl 2.000 5.578 0.018
Tl 5.864 5.578 0.018
Tl 5.931 2.579 2.897
V 0.000 7.112 2.807
V 3.932 1.045 5.687
O 0.000 0.715 2.966
O 0.000 6.706 1.078
O 1.428 6.468 3.552
O 2.504 1.689 0.673
O 3.932 1.451 3.958
O 3.932 7.442 0.086
O 5.359 1.689 0.673
O 6.436 6.468 3.552
```

Main lines, sorted by position (2θ = 15–90°):
2θ = 18.86°, rel. 77; 2θ = 21.79°, rel. 30; 2θ = 22.61°, rel. 26; 2θ = 25.14°, rel. 29; 2θ = 26.78°, rel. 59; 2θ = 29.61°, rel. 100; 2θ = 31.06°, rel. 35; 2θ = 40.34°, rel. 42; 2θ = 51.76°, rel. 25; 2θ = 54.36°, rel. 23

***

Simulated X-ray diffraction stick pattern
Compound: K2TlWO6
Radiation: copper Kα
Structure: a DFT-relaxed cell (GGA+U, Alexandria)

Atomic structure:
```
10
Lattice="2.979 1.720 4.865 -2.979 1.720 4.865 0.000 -3.440 4.865" Properties=species:S:1:pos:R:3 pbc="T T T"
K 0.000 0.000 3.649
K 0.000 0.000 10.946
Tl 0.000 0.000 0.000
W 0.000 0.000 7.297
O -0.005 -1.588 6.175
O -1.378 -0.790 8.420
O -1.373 0.798 6.175
O 1.373 -0.798 8.420
O 1.378 0.790 6.175
O 0.005 1.588 8.420
```

Main lines, sorted by position (2θ = 15–90°):
2θ = 21.09°, rel. 71; 2θ = 29.99°, rel. 100; 2θ = 36.95°, rel. 9; 2θ = 42.93°, rel. 31; 2θ = 48.30°, rel. 32; 2θ = 53.25°, rel. 40; 2θ = 62.33°, rel. 19; 2θ = 66.58°, rel. 16; 2θ = 70.70°, rel. 18; 2θ = 86.41°, rel. 22

***

Simulated X-ray diffraction stick pattern
Compound: KTlWO4
Radiation: copper Kα
Structure: a DFT-relaxed cell (GGA+U, Alexandria)

Atomic structure:
```
14
Lattice="7.208 0.000 0.000 0.000 6.524 0.000 -1.199 0.000 7.464" Properties=species:S:1:pos:R:3 pbc="T T T"
K 1.163 1.631 0.817
K 4.847 4.893 6.647
Tl 1.512 1.631 4.717
Tl 4.497 4.893 2.747
W 1.196 4.893 6.440
W 4.813 1.631 1.024
O 0.128 3.426 6.226
O 0.128 6.360 6.226
O 3.122 4.893 0.643
O 2.514 4.893 5.200
O 3.495 1.631 2.264
O 2.888 1.631 6.821
O 5.882 0.164 1.238
O 5.882 3.098 1.238
```

Main lines, sorted by position (2θ = 15–90°):
2θ = 15.78°, rel. 68; 2θ = 18.54°, rel. 72; 2θ = 20.87°, rel. 62; 2θ = 23.05°, rel. 37; 2θ = 25.02°, rel. 31; 2θ = 27.34°, rel. 58; 2θ = 27.53°, rel. 100; 2θ = 29.43°, rel. 37; 2θ = 34.79°, rel. 35; 2θ = 40.14°, rel. 24

***

Simulated X-ray diffraction stick pattern
Compound: KTlW2O8
Radiation: copper Kα
Structure: a DFT-relaxed cell (GGA+U, Alexandria)

Atomic structure:
```
12
Lattice="-3.839 3.839 3.364 3.839 -3.839 3.364 3.839 3.839 -3.364" Properties=species:S:1:pos:R:3 pbc="T T T"
K 0.000 0.000 0.000
Tl 3.839 0.000 1.682
W 0.000 0.000 3.364
W 0.000 3.839 1.682
O 2.339 3.839 -1.036
O 1.500 0.000 2.328
O 0.000 2.447 0.516
O 3.839 2.339 1.036
O 0.000 5.231 0.516
O 0.000 1.500 4.400
O -1.392 3.839 2.847
O 1.392 3.839 2.847
```

Main lines, sorted by position (2θ = 15–90°):
2θ = 17.53°, rel. 21; 2θ = 23.17°, rel. 100; 2θ = 29.20°, rel. 16; 2θ = 31.28°, rel. 81; 2θ = 33.00°, rel. 27; 2θ = 46.10°, rel. 64; 2θ = 47.36°, rel. 17; 2θ = 53.36°, rel. 17; 2θ = 57.86°, rel. 18; 2θ = 68.24°, rel. 17